No. 1
CaEuSn4O12: simulated PXRD pattern (λ = 1.5418 Å (Cu Kα)), based on a PBE-relaxed structure.
Intensities are scaled so that the largest is 100.

Structure:
a = 8.072 Å, b = 5.709 Å, c = 5.709 Å
α = 90.39°, β = 90.00°, γ = 90.00°
Atoms (fractional coordinates):
Ca 0.000 0.000 0.000
Eu 0.500 0.549 0.549
Sn 0.245 0.037 0.515
Sn 0.245 0.515 0.037
Sn 0.755 0.037 0.515
Sn 0.755 0.515 0.037
O 0.000 0.002 0.602
O 0.000 0.602 0.002
O 0.194 0.209 0.209
O 0.275 0.335 0.722
O 0.275 0.722 0.335
O 0.301 0.802 0.802
O 0.500 0.104 0.481
O 0.500 0.481 0.104
O 0.699 0.802 0.802
O 0.725 0.335 0.722
O 0.725 0.722 0.335
O 0.806 0.209 0.209

Top 12 peaks for 10 to 90 degrees two-theta, by angle:
19.04 deg, rel. 37.6
21.98 deg, rel. 34.8
22.09 deg, rel. 19.7
31.31 deg, rel. 100.0
31.39 deg, rel. 44.6
36.97 deg, rel. 11.1
44.74 deg, rel. 13.7
44.92 deg, rel. 15.8
45.07 deg, rel. 15.1
50.68 deg, rel. 9.8
55.68 deg, rel. 23.7
55.83 deg, rel. 43.8

No. 2
CaEuTiSnO6: simulated PXRD pattern (λ = 1.5418 Å (Cu Kα)), based on a PBE-relaxed structure.
Intensities are scaled so that the largest is 100.

Structure:
a = 5.661 Å, b = 5.661 Å, c = 5.661 Å
α = 60.00°, β = 60.00°, γ = 60.00°
Atoms (fractional coordinates):
Ca 0.000 0.000 0.000
Eu 0.500 0.500 0.500
Ti 0.250 0.250 0.250
Sn 0.750 0.750 0.750
O 0.006 0.006 0.494
O 0.006 0.494 0.006
O 0.006 0.494 0.494
O 0.494 0.006 0.006
O 0.494 0.006 0.494
O 0.494 0.494 0.006

Top 12 peaks for 10 to 90 degrees two-theta, by angle:
19.20 deg, rel. 33.1
31.61 deg, rel. 100.0
37.25 deg, rel. 21.3
38.97 deg, rel. 5.2
45.31 deg, rel. 34.7
49.64 deg, rel. 10.1
56.29 deg, rel. 39.3
60.05 deg, rel. 7.4
66.01 deg, rel. 20.8
69.46 deg, rel. 7.4
75.04 deg, rel. 17.3
83.69 deg, rel. 7.0

No. 3
CaEuZrSnO6: simulated PXRD pattern (λ = 1.5418 Å (Cu Kα)), based on a PBE-relaxed structure.
Intensities are scaled so that the largest is 100.

Structure:
a = 5.839 Å, b = 5.839 Å, c = 5.839 Å
α = 60.00°, β = 60.00°, γ = 60.00°
Atoms (fractional coordinates):
Ca 0.000 0.000 0.000
Eu 0.500 0.500 0.500
Zr 0.250 0.250 0.250
Sn 0.750 0.750 0.750
O 0.501 0.501 0.999
O 0.501 0.999 0.501
O 0.501 0.999 0.999
O 0.999 0.501 0.501
O 0.999 0.501 0.999
O 0.999 0.999 0.501

Top 12 peaks for 10 to 90 degrees two-theta, by angle:
18.61 deg, rel. 19.3
30.62 deg, rel. 100.0
36.07 deg, rel. 12.0
43.85 deg, rel. 33.2
48.02 deg, rel. 5.5
54.43 deg, rel. 40.3
58.03 deg, rel. 4.3
63.75 deg, rel. 20.3
67.05 deg, rel. 4.3
72.37 deg, rel. 17.6
80.60 deg, rel. 6.8
88.63 deg, rel. 21.9

No. 4
CaEuTi4O12: simulated PXRD pattern (λ = 1.5418 Å (Cu Kα)), based on a PBE-relaxed structure.
Intensities are scaled so that the largest is 100.

Structure:
a = 7.779 Å, b = 5.484 Å, c = 5.484 Å
α = 89.86°, β = 90.00°, γ = 90.00°
Atoms (fractional coordinates):
Ca 0.000 0.000 0.000
Eu 0.500 0.513 0.513
Ti 0.248 0.009 0.505
Ti 0.248 0.505 0.009
Ti 0.752 0.009 0.505
Ti 0.752 0.505 0.009
O 0.000 0.537 0.993
O 0.000 0.993 0.537
O 0.225 0.231 0.231
O 0.260 0.281 0.733
O 0.260 0.733 0.281
O 0.270 0.771 0.771
O 0.500 0.033 0.489
O 0.500 0.489 0.033
O 0.730 0.771 0.771
O 0.740 0.281 0.733
O 0.740 0.733 0.281
O 0.775 0.231 0.231

Top 12 peaks for 10 to 90 degrees two-theta, by angle:
11.38 deg, rel. 21.7
16.16 deg, rel. 21.0
19.81 deg, rel. 88.7
25.67 deg, rel. 15.3
32.63 deg, rel. 100.0
38.43 deg, rel. 31.5
38.52 deg, rel. 16.2
46.75 deg, rel. 35.8
46.92 deg, rel. 17.1
51.30 deg, rel. 20.9
58.18 deg, rel. 26.4
68.31 deg, rel. 18.6

No. 5
CaEuZr2O6: simulated PXRD pattern (λ = 1.5418 Å (Cu Kα)), based on a PBE-relaxed structure.
Intensities are scaled so that the largest is 100.

Structure:
a = 5.766 Å, b = 5.766 Å, c = 4.210 Å
α = 90.00°, β = 90.00°, γ = 90.25°
Atoms (fractional coordinates):
Ca 0.000 0.000 0.000
Eu 0.500 0.500 0.000
Zr 0.000 0.500 0.500
Zr 0.500 0.000 0.500
O 0.000 0.500 0.000
O 0.177 0.177 0.500
O 0.320 0.680 0.500
O 0.500 0.000 0.000
O 0.680 0.320 0.500
O 0.823 0.823 0.500

Top 12 peaks for 10 to 90 degrees two-theta, by angle:
15.37 deg, rel. 25.5
26.21 deg, rel. 15.7
30.52 deg, rel. 100.0
31.02 deg, rel. 59.9
40.99 deg, rel. 9.8
42.97 deg, rel. 19.5
44.34 deg, rel. 15.0
44.54 deg, rel. 14.7
53.93 deg, rel. 24.4
54.81 deg, rel. 23.4
54.94 deg, rel. 23.5
63.45 deg, rel. 9.7

No. 6
CaEuS2: simulated PXRD pattern (λ = 1.5418 Å (Cu Kα)), based on a PBE-relaxed structure.
Intensities are scaled so that the largest is 100.

Structure:
a = 7.081 Å, b = 7.081 Å, c = 7.081 Å
α = 33.59°, β = 33.59°, γ = 33.59°
Atoms (fractional coordinates):
Ca 0.000 0.000 0.000
Eu 0.500 0.500 0.500
S 0.252 0.252 0.252
S 0.748 0.748 0.748

Top 12 peaks for 10 to 90 degrees two-theta, by angle:
13.26 deg, rel. 37.7
25.52 deg, rel. 28.2
26.69 deg, rel. 44.8
30.91 deg, rel. 100.0
33.77 deg, rel. 14.9
44.28 deg, rel. 70.9
46.41 deg, rel. 11.3
52.46 deg, rel. 22.5
54.98 deg, rel. 24.2
64.42 deg, rel. 11.1
73.16 deg, rel. 30.7
81.51 deg, rel. 23.1